Record 1
# Tb2Y5Er
Computed powder XRD pattern, Cu Kα X-rays. Input: a structure optimized by DFT (GGA-PBE).

Principal peaks in the range 10 to 80 degrees two-theta, sorted by position:
two_theta	d_spacing	Rel. int.
14.8	5.974	24
28.7	3.107	32
30.5	2.935	20
32.0	2.794	17
32.3	2.767	48
32.5	2.756	100
33.5	2.677	58
45.0	2.014	14
46.2	1.966	12
54.4	1.686	13
57.8	1.596	22
58.4	1.580	12

Cell and atoms:
```
data_Tb2Y5Er
_cell_length_a 5.535
_cell_length_b 11.948
_cell_length_c 15.820
_cell_angle_alpha 90.00
_cell_angle_beta 90.00
_cell_angle_gamma 90.00
_space_group_name_H-M_alt 'C m c m'
_space_group_IT_number 63
_space_group_name_Hall '-C 2c 2'
loop_
_atom_site_label
_atom_site_type_symbol
_atom_site_fract_x
_atom_site_fract_y
_atom_site_fract_z
Tb1 Tb 0.000 0.220 0.131
Y1 Y 0.000 0.079 0.594
Y2 Y 0.000 0.381 0.549
Y3 Y 0.000 0.458 0.250
Er1 Er 0.000 0.268 0.750
```

---

Record 2
# TbYEr14
Computed powder XRD pattern, Cu Kα X-rays. Input: a structure optimized by DFT (GGA-PBE).

Principal peaks in the range 10 to 80 degrees two-theta, sorted by position:
two_theta	d_spacing	Rel. int.
28.5	3.131	9
31.1	2.876	17
31.8	2.810	100
32.2	2.783	16
32.5	2.758	32
33.2	2.698	10
45.0	2.016	7
46.4	1.959	11
53.4	1.715	9
57.5	1.602	17
63.9	1.456	10
65.3	1.429	9

Cell and atoms:
```
data_TbYEr14
_cell_length_a 11.030
_cell_length_b 8.064
_cell_length_c 11.131
_cell_angle_alpha 90.00
_cell_angle_beta 90.00
_cell_angle_gamma 90.00
_space_group_name_H-M_alt 'A m m 2'
_space_group_IT_number 38
loop_
_space_group_symop_operation_xyz
'x,y,z'
'-x,-y,z'
'-x,y,z'
'x,-y,z'
'x,y+1/2,z+1/2'
'-x,-y+1/2,z+1/2'
'-x,y+1/2,z+1/2'
'x,-y+1/2,z+1/2'
loop_
_atom_site_label
_atom_site_type_symbol
_atom_site_fract_x
_atom_site_fract_y
_atom_site_fract_z
Tb1 Tb 0.000 0.000 0.000
Y1 Y 0.000 0.000 0.551
Er1 Er 0.000 0.205 0.273
Er2 Er 0.233 0.000 0.758
Er3 Er 0.252 0.210 0.480
Er4 Er 0.268 0.000 0.202
Er5 Er 0.500 0.000 0.409
Er6 Er 0.500 0.000 0.961
Er7 Er 0.500 0.205 0.688
```

---

Record 3
# TbY5Er2
Computed powder XRD pattern, Cu Kα X-rays. Input: a structure optimized by DFT (GGA-PBE).

Principal peaks in the range 10 to 80 degrees two-theta, sorted by position:
two_theta	d_spacing	Rel. int.
10.6	8.322	47
29.2	3.059	24
31.3	2.856	86
31.6	2.830	22
32.2	2.779	100
32.5	2.751	62
32.7	2.735	52
33.3	2.694	50
33.5	2.679	45
49.4	1.843	23
50.8	1.797	19
57.9	1.592	23

Cell and atoms:
```
data_TbY5Er2
_cell_length_a 6.737
_cell_length_b 9.312
_cell_length_c 9.442
_cell_angle_alpha 61.83
_cell_angle_beta 88.04
_cell_angle_gamma 87.72
_space_group_name_H-M_alt 'P -1'
_space_group_IT_number 2
loop_
_space_group_symop_operation_xyz
'x,y,z'
'-x,-y,-z'
loop_
_atom_site_label
_atom_site_type_symbol
_atom_site_fract_x
_atom_site_fract_y
_atom_site_fract_z
Tb1 Tb 0.243 0.036 0.457
Y1 Y 0.082 0.060 0.808
Y2 Y 0.110 0.331 0.068
Y3 Y 0.286 0.647 0.180
Y4 Y 0.402 0.669 0.806
Y5 Y 0.413 0.042 0.125
Er1 Er 0.079 0.625 0.569
Er2 Er 0.417 0.317 0.557
```

---

Record 4
# Tb8Y3Er2
Computed powder XRD pattern, Cu Kα X-rays. Input: a structure optimized by DFT (GGA-PBE).

Principal peaks in the range 10 to 80 degrees two-theta, sorted by position:
two_theta	d_spacing	Rel. int.
17.6	5.033	11
24.9	3.574	23
28.2	3.162	12
29.7	3.009	29
31.0	2.881	37
31.8	2.814	42
33.5	2.677	100
35.7	2.516	13
40.8	2.211	13
51.3	1.780	11
57.7	1.597	21
61.7	1.504	14

Cell and atoms:
```
data_Tb8Y3Er2
_cell_length_a 20.124
_cell_length_b 7.646
_cell_length_c 5.628
_cell_angle_alpha 90.00
_cell_angle_beta 90.03
_cell_angle_gamma 90.00
_space_group_name_H-M_alt 'C 1 2/m 1'
_space_group_IT_number 12
loop_
_space_group_symop_operation_xyz
'x,y,z'
'-x,-y,-z'
'-x,y,-z'
'x,-y,z'
'x+1/2,y+1/2,z'
'-x+1/2,-y+1/2,-z'
'-x+1/2,y+1/2,-z'
'x+1/2,-y+1/2,z'
loop_
_atom_site_label
_atom_site_type_symbol
_atom_site_fract_x
_atom_site_fract_y
_atom_site_fract_z
Tb1 Tb 0.109 0.210 0.000
Tb2 Tb 0.134 0.500 0.500
Tb3 Tb 0.169 0.000 0.501
Y1 Y 0.000 0.215 0.500
Y2 Y 0.000 0.500 0.000
Er1 Er 0.241 0.500 0.999
```

---

Record 5
# Tb2Y3Er3
Computed powder XRD pattern, Cu Kα X-rays. Input: a structure optimized by DFT (GGA-PBE).

Principal peaks in the range 10 to 80 degrees two-theta, sorted by position:
two_theta	d_spacing	Rel. int.
16.6	5.329	14
23.2	3.840	19
29.8	2.997	44
31.4	2.853	61
32.3	2.775	100
32.4	2.763	99
34.4	2.611	40
43.8	2.066	31
48.8	1.865	17
56.4	1.630	41
59.2	1.561	19
64.6	1.442	12

Cell and atoms:
```
data_Tb2Y3Er3
_cell_length_a 16.042
_cell_length_b 5.705
_cell_length_c 5.994
_cell_angle_alpha 90.00
_cell_angle_beta 111.56
_cell_angle_gamma 90.00
_space_group_name_H-M_alt 'C 1 2/m 1'
_space_group_IT_number 12
loop_
_space_group_symop_operation_xyz
'x,y,z'
'-x,-y,-z'
'-x,y,-z'
'x,-y,z'
'x+1/2,y+1/2,z'
'-x+1/2,-y+1/2,-z'
'-x+1/2,y+1/2,-z'
'x+1/2,-y+1/2,z'
loop_
_atom_site_label
_atom_site_type_symbol
_atom_site_fract_x
_atom_site_fract_y
_atom_site_fract_z
Tb1 Tb 0.250 0.000 0.184
Y1 Y 0.000 0.000 0.000
Y2 Y 0.131 0.000 0.576
Er1 Er 0.000 0.500 0.500
Er2 Er 0.130 0.500 0.184
```

---

Record 6
# Tb4YEr2
Computed powder XRD pattern, Cu Kα X-rays. Input: a structure optimized by DFT (GGA-PBE).

Principal peaks in the range 10 to 80 degrees two-theta, sorted by position:
two_theta	d_spacing	Rel. int.
26.5	3.366	19
29.6	3.019	34
30.9	2.890	69
31.1	2.874	35
32.5	2.753	100
32.6	2.743	99
43.3	2.088	24
50.0	1.825	22
50.6	1.803	12
56.0	1.643	21
56.2	1.637	21
60.1	1.540	12

Cell and atoms:
```
data_Tb4YEr2
_cell_length_a 6.039
_cell_length_b 8.422
_cell_length_c 9.862
_cell_angle_alpha 84.65
_cell_angle_beta 72.25
_cell_angle_gamma 69.02
_space_group_name_H-M_alt 'P 1'
_space_group_IT_number 1
loop_
_space_group_symop_operation_xyz
'x,y,z'
loop_
_atom_site_label
_atom_site_type_symbol
_atom_site_fract_x
_atom_site_fract_y
_atom_site_fract_z
Tb1 Tb 0.000 0.000 0.000
Tb2 Tb 0.031 0.072 0.643
Tb3 Tb 0.082 0.575 0.139
Tb4 Tb 0.608 0.359 0.213
Tb5 Tb 0.647 0.856 0.717
Tb6 Tb 0.685 0.928 0.355
Tb7 Tb 0.822 0.503 0.500
Tb8 Tb 0.854 0.431 0.856
Y1 Y 0.146 0.145 0.279
Y2 Y 0.421 0.286 0.577
Er1 Er 0.242 0.715 0.427
Er2 Er 0.257 0.644 0.777
Er3 Er 0.439 0.216 0.928
Er4 Er 0.540 0.786 0.079
```